Calculated powder diffraction line list of La2SiPt6 for Cu Ka, from DFT lattice parameters and positions (PBE).

Structural model:
a b c (Å): 5.766 5.766 5.947
angles (deg): 90.00 90.00 120.00
Positions (direct):
La  0.333  0.667  0.328
La  0.667  0.333  0.672
Si  0.000  0.000  0.500
Pt  0.170  0.339  0.801
Pt  0.170  0.830  0.801
Pt  0.339  0.170  0.199
Pt  0.661  0.830  0.801
Pt  0.830  0.170  0.199
Pt  0.830  0.661  0.199

Peak list (12 most intense, 5° ≤ 2θ ≤ 70°, by angle)
- 2θ 14.90, I 5, (0 0 1)
- 2θ 23.26, I 6, (1 0 1)
- 2θ 30.06, I 27, (0 0 2)
- 2θ 34.57, I 8, (1 1 1)
- 2θ 35.13, I 16, (0 1 2)
- 2θ 35.97, I 22, (2 0 0)
- 2θ 39.13, I 100, (0 2 1)
- 2θ 47.56, I 21, (2 0 2)
- 2θ 56.33, I 8, (1 1 3)
- 2θ 57.87, I 7, (1 2 2)
- 2θ 59.55, I 10, (0 2 3)
- 2θ 64.66, I 18, (2 2 0)